Starting from DFT lattice parameters and positions (GGA-PBE), the powder diffractogram of U3Cu2S7 was computed for Cu Ka.
Kinematic intensities with the Lorentz-polarization factor, no thermal factor.

Crystal structure
```
24
Lattice="9.661 0.000 0.000 -4.831 8.367 0.000 0.000 0.000 5.673" Properties=species:S:1:pos:R:3 pbc="T T T"
U -0.377 3.173 0.000
U -1.894 7.107 0.000
U 2.559 1.913 2.836
U 2.271 6.453 0.000
U 6.724 1.260 2.836
U 5.208 5.194 2.836
Cu 0.000 0.000 2.664
Cu 0.000 0.000 5.500
Cu 0.000 5.578 3.511
Cu 4.831 2.789 0.674
S -1.971 4.744 4.262
S -0.224 2.194 2.750
S -2.818 7.464 2.750
S 1.788 1.292 5.586
S 0.000 5.578 1.250
S 1.708 4.288 4.262
S 0.263 7.702 4.262
S 4.567 0.665 1.425
S 3.122 4.079 1.425
S 4.831 2.789 4.086
S 3.042 7.075 2.750
S 7.648 0.903 5.586
S 5.055 6.172 5.586
S 6.802 3.623 1.425
```

Peak list (12 most intense, 2θ from 10° to 80°, most intense first)
d = 3.367 Å, 2θ = 26.47°, I = 100; d = 2.111 Å, 2θ = 42.83°, I = 50; d = 3.162 Å, 2θ = 28.22°, I = 42; d = 4.695 Å, 2θ = 18.90°, I = 41; d = 2.415 Å, 2θ = 37.23°, I = 37; d = 2.503 Å, 2θ = 35.88°, I = 31; d = 1.738 Å, 2θ = 52.66°, I = 26; d = 2.836 Å, 2θ = 31.54°, I = 25; d = 2.148 Å, 2θ = 42.07°, I = 24; d = 3.678 Å, 2θ = 24.20°, I = 20; d = 1.818 Å, 2θ = 50.18°, I = 20; d = 4.183 Å, 2θ = 21.24°, I = 19